Starting from a structure optimized by DFT (GGA-PBE), the powder XRD pattern of Ag4Bi3Au2 was computed for λ = 1.5418 Å (Cu Kα).

Structure:
Lattice parameters (Å, degrees): 4.646 5.811 8.604 102.77 90.40 113.52
Space group P-1 (No. 2)
One atom of each set of equivalent atoms:
Ag1 0.072 0.147 0.168
Ag2 0.306 0.613 0.446
Bi1 0.000 0.000 0.500
Bi2 0.378 0.757 0.113
Au1 0.263 0.521 0.765

Largest 10 diffraction maxima, most intense first, 10° ≤ 2θ ≤ 80°:
hkl 2 -1 0, 2θ = 38.76°, 2.323 Å, I 100; hkl 1 1 0, 2θ = 32.35°, 2.767 Å, I 96; hkl 0 0 3, 2θ = 32.19°, 2.781 Å, I 60; hkl 1 -2 2, 2θ = 35.30°, 2.543 Å, I 54; hkl 1 1 -1, 2θ = 32.02°, 2.795 Å, I 54; hkl 1 1 -2, 2θ = 35.16°, 2.553 Å, I 53; hkl -1 2 1, 2θ = 36.09°, 2.488 Å, I 49; hkl -1 1 3, 2θ = 40.42°, 2.231 Å, I 47; hkl 1 1 1, 2θ = 36.20°, 2.481 Å, I 45; hkl 0 3 -2, 2θ = 52.28°, 1.750 Å, I 41